Starting from the GGA-PBE geometry in Alexandria, the X-ray diffraction stick pattern of Pr8ZnPt3Br4 was simulated for copper Kα.
Peak positions follow from Bragg's law for the DFT cell and can differ from measured ones.

Crystal structure
a b c (Å): 8.5224 8.5224 23.2279
angles (deg): 90.00 90.00 120.00
Space group R-3m (No. 166, hexagonal axes)
Inequivalent atoms, fractional coordinates:
Pr (0.0000, 0.0000, 0.2346)
Pr (0.0079, 0.5040, 0.7647)
Zn (0.0000, 0.0000, 0.5000)
Pt (0.0000, 0.5000, 0.5000)
Br (0.0000, 0.0000, 0.0000)
Br (0.0000, 0.5000, 0.0000)

The 10 most intense peaks (10° ≤ 2θ ≤ 90°), sorted by position:
h k l	2θ/deg	I_rel
0 0 3	11.4	26
0 2 4	28.7	100
0 2 7	36.4	13
2 0 8	39.5	33
2 2 0	42.4	38
4 0 4	52.0	19
0 4 8	59.3	10
2 2 12	65.1	10
2 4 4	69.3	16
4 2 8	75.6	10

=====

Starting from the GGA-PBE geometry in Alexandria, the X-ray diffraction stick pattern of PrPuBr6 was simulated for copper Kα.
Peak positions follow from Bragg's law for the DFT cell and can differ from measured ones.

Crystal structure
a b c (Å): 7.2027 7.2027 20.2447
angles (deg): 90.00 90.00 120.00
Space group R-3 (No. 148, hexagonal axes)
Inequivalent atoms, fractional coordinates:
Pr (0.0000, 0.0000, 0.0000)
Pu (0.0000, 0.0000, 0.5000)
Br (0.0045, 0.3274, 0.5835)

The 10 most intense peaks (10° ≤ 2θ ≤ 90°), sorted by position:
h k l	2θ/deg	I_rel
0 1 2	16.7	100
1 0 4	22.6	43
2 -1 3	28.1	75
2 0 2	30.0	20
0 2 4	33.8	19
1 1 6	36.5	75
3 -2 2	39.2	22
3 0 0	43.5	44
4 -2 6	58.1	20
3 0 12	72.1	20

=====

Starting from the GGA-PBE geometry in Alexandria, the X-ray diffraction stick pattern of Pr3Rh2Br was simulated for copper Kα.
Peak positions follow from Bragg's law for the DFT cell and can differ from measured ones.

Crystal structure
a b c (Å): 4.2317 16.3360 9.7888
angles (deg): 90.00 90.00 90.00
Space group Cmcm (No. 63)
Inequivalent atoms, fractional coordinates:
Pr (0.0000, 0.1118, 0.0562)
Pr (0.0000, 0.3792, 0.2500)
Rh (0.0000, 0.0145, 0.7500)
Rh (0.0000, 0.5000, 0.0000)
Br (0.0000, 0.2773, 0.7500)

The 10 most intense peaks (10° ≤ 2θ ≤ 90°), sorted by position:
h k l	2θ/deg	I_rel
0 2 0	10.8	58
1 3 1	28.2	39
0 2 3	29.5	45
1 3 2	32.4	100
1 5 1	35.9	18
0 0 4	36.7	20
1 5 2	39.4	59
2 0 0	42.7	30
2 2 3	52.8	19
1 3 5	54.3	17

=====

Starting from the GGA-PBE geometry in Alexandria, the X-ray diffraction stick pattern of Pr3TeRhBr was simulated for copper Kα.
Peak positions follow from Bragg's law for the DFT cell and can differ from measured ones.

Crystal structure
a b c (Å): 7.4843 4.0621 12.1317
angles (deg): 90.00 101.94 90.00
Space group P2_1/m (No. 11)
Inequivalent atoms, fractional coordinates:
Pr (0.0407, 0.2500, 0.1346)
Pr (0.2890, 0.2500, 0.4979)
Pr (0.4480, 0.7500, 0.8580)
Te (0.3484, 0.7500, 0.3050)
Rh (0.2372, 0.2500, 0.9523)
Br (0.1170, 0.7500, 0.6363)

The 10 most intense peaks (10° ≤ 2θ ≤ 90°), sorted by position:
h k l	2θ/deg	I_rel
0 1 2	26.6	29
2 0 1	26.9	31
1 1 -2	27.9	100
2 0 2	31.2	57
2 1 -2	34.1	59
2 0 -4	34.8	58
2 1 1	35.0	65
3 1 0	43.2	38
0 2 0	44.6	43
2 2 -4	57.8	30

=====

Starting from the GGA-PBE geometry in Alexandria, the X-ray diffraction stick pattern of PrYRhBr was simulated for copper Kα.
Peak positions follow from Bragg's law for the DFT cell and can differ from measured ones.

Crystal structure
a b c (Å): 4.0661 4.0661 23.5526
angles (deg): 90.00 90.00 120.00
Space group R3m (No. 160, hexagonal axes)
Inequivalent atoms, fractional coordinates:
Pr (0.0000, 0.0000, 0.0000)
Y (0.0000, 0.0000, 0.7958)
Rh (0.0000, 0.0000, 0.4004)
Br (0.0000, 0.0000, 0.2258)

The 10 most intense peaks (10° ≤ 2θ ≤ 90°), sorted by position:
h k l	2θ/deg	I_rel
0 0 3	11.3	29
0 1 2	26.4	17
1 0 4	29.6	20
0 1 5	31.7	100
1 0 7	37.0	14
1 1 0	44.6	43
1 0 10	46.4	25
2 0 5	55.7	20
0 2 10	66.2	15
1 2 5	74.0	17

=====

Starting from the GGA-PBE geometry in Alexandria, the X-ray diffraction stick pattern of Pr4RuBr5 was simulated for copper Kα.
Peak positions follow from Bragg's law for the DFT cell and can differ from measured ones.

Crystal structure
a b c (Å): 18.9220 4.1782 9.0742
angles (deg): 90.00 104.90 90.00
Space group C2/m (No. 12)
Inequivalent atoms, fractional coordinates:
Pr (0.0007, 0.0000, 0.2239)
Pr (0.1465, 0.5000, 0.0831)
Ru (0.0000, 0.5000, 0.0000)
Br (0.0000, 0.5000, 0.5000)
Br (0.1680, 0.0000, 0.3357)
Br (0.1717, 0.0000, 0.8477)

The 10 most intense peaks (10° ≤ 2θ ≤ 90°), sorted by position:
h k l	2θ/deg	I_rel
0 0 1	10.1	53
1 1 -2	29.1	100
6 0 0	29.3	43
2 0 -4	39.7	21
7 1 -2	41.5	31
5 1 2	42.0	32
0 2 0	43.3	17
8 0 -4	49.7	12
6 2 0	53.2	16
2 2 -4	60.2	11

=====

Starting from the GGA-PBE geometry in Alexandria, the X-ray diffraction stick pattern of Pr3SBr7 was simulated for copper Kα.
Peak positions follow from Bragg's law for the DFT cell and can differ from measured ones.

Crystal structure
a b c (Å): 8.7239 8.7239 6.9626
angles (deg): 90.00 90.00 120.00
Space group P3m1 (No. 156)
Inequivalent atoms, fractional coordinates:
Pr (0.0126, 0.5063, 0.0000)
S (0.3333, 0.6667, 0.1908)
Br (0.1728, 0.3456, 0.7612)
Br (0.3506, 0.1753, 0.2204)
Br (0.6667, 0.3333, 0.7575)

The 10 most intense peaks (10° ≤ 2θ ≤ 90°), sorted by position:
h k l	2θ/deg	I_rel
1 0 0	11.7	17
0 0 1	12.7	59
0 1 1	17.3	17
2 0 1	26.9	100
2 0 2	35.1	62
2 2 0	41.4	38
2 2 1	43.5	16
0 2 3	45.9	28
0 4 1	50.0	17
0 4 2	55.3	16

=====

Starting from the GGA-PBE geometry in Alexandria, the X-ray diffraction stick pattern of Pr5S4Br was simulated for copper Kα.
Peak positions follow from Bragg's law for the DFT cell and can differ from measured ones.

Crystal structure
a b c (Å): 4.0623 4.0623 53.4515
angles (deg): 90.00 90.00 120.00
Space group R-3m (No. 166, hexagonal axes)
Inequivalent atoms, fractional coordinates:
Pr (0.0000, 0.0000, 0.0000)
Pr (0.0000, 0.0000, 0.2085)
Pr (0.0000, 0.0000, 0.3979)
S (0.0000, 0.0000, 0.0954)
S (0.0000, 0.0000, 0.3013)
Br (0.0000, 0.0000, 0.5000)

The 10 most intense peaks (10° ≤ 2θ ≤ 90°), sorted by position:
h k l	2θ/deg	I_rel
0 0 15	25.0	11
0 1 5	26.7	41
1 0 10	30.4	100
0 1 20	42.5	29
1 1 0	44.6	38
1 1 15	51.8	10
1 0 28	54.7	10
0 2 10	55.0	18
2 1 10	73.4	15
3 0 0	82.2	10

=====

Starting from the GGA-PBE geometry in Alexandria, the X-ray diffraction stick pattern of PrSBr was simulated for copper Kα.
Peak positions follow from Bragg's law for the DFT cell and can differ from measured ones.

Crystal structure
a b c (Å): 6.9993 14.0017 7.1530
angles (deg): 90.00 90.00 90.00
Space group Pbca (No. 61)
Inequivalent atoms, fractional coordinates:
Pr (0.2429, 0.0925, 0.0323)
S (0.0010, 0.0230, 0.7421)
Br (0.1475, 0.7088, 0.3868)

The 10 most intense peaks (10° ≤ 2θ ≤ 90°), sorted by position:
h k l	2θ/deg	I_rel
1 2 1	21.8	100
0 0 2	24.9	20
2 0 0	25.5	29
1 2 2	30.8	25
1 4 1	31.2	88
2 0 2	35.9	53
2 2 2	38.2	26
1 2 3	42.1	26
3 2 1	42.8	46
0 6 2	46.5	18

=====

Starting from the GGA-PBE geometry in Alexandria, the X-ray diffraction stick pattern of Pr4SeS2Br was simulated for copper Kα.
Peak positions follow from Bragg's law for the DFT cell and can differ from measured ones.

Crystal structure
a b c (Å): 8.4584 11.8256 8.3191
angles (deg): 90.00 90.00 90.00
Space group Fmm2 (No. 42)
Inequivalent atoms, fractional coordinates:
Pr (0.0000, 0.2448, 0.0000)
Pr (0.2219, 0.0000, 0.2586)
Se (0.0000, 0.0000, 0.9808)
S (0.2500, 0.2500, 0.2503)
Br (0.0000, 0.0000, 0.5387)

The 10 most intense peaks (10° ≤ 2θ ≤ 90°), sorted by position:
h k l	2θ/deg	I_rel
2 2 0	25.9	16
0 2 2	26.2	19
0 4 0	30.2	100
4 0 0	42.8	11
2 4 2	43.2	48
0 0 4	43.5	11
2 2 4	51.3	10
4 4 0	53.3	12
0 4 4	53.9	12
2 8 2	71.3	10

=====

Starting from the GGA-PBE geometry in Alexandria, the X-ray diffraction stick pattern of Pr8SeS3Br4 was simulated for copper Kα.
Peak positions follow from Bragg's law for the DFT cell and can differ from measured ones.

Crystal structure
a b c (Å): 8.1549 8.1549 22.9557
angles (deg): 90.00 90.00 120.00
Space group R-3m (No. 166, hexagonal axes)
Inequivalent atoms, fractional coordinates:
Pr (0.0000, 0.0000, 0.2331)
Pr (0.0123, 0.5061, 0.7648)
Se (0.0000, 0.0000, 0.5000)
S (0.0000, 0.5000, 0.5000)
Br (0.0000, 0.0000, 0.0000)
Br (0.0000, 0.5000, 0.0000)

The 10 most intense peaks (10° ≤ 2θ ≤ 90°), sorted by position:
h k l	2θ/deg	I_rel
2 0 2	26.4	20
0 2 4	29.7	100
2 0 5	32.0	15
0 0 9	35.2	9
2 0 8	40.5	31
2 2 0	44.4	36
4 0 4	54.4	18
2 2 9	57.9	13
0 2 13	58.4	9
2 4 4	72.7	14

=====

Starting from the GGA-PBE geometry in Alexandria, the X-ray diffraction stick pattern of PrYSBr was simulated for copper Kα.
Peak positions follow from Bragg's law for the DFT cell and can differ from measured ones.

Crystal structure
a b c (Å): 6.7968 3.9295 8.0104
angles (deg): 90.00 106.34 90.00
Space group Cm (No. 8)
Inequivalent atoms, fractional coordinates:
Pr (0.0000, 0.0000, 0.0000)
Y (0.1992, 0.0000, 0.5979)
S (0.0946, 0.5000, 0.7839)
Br (0.2738, 0.5000, 0.3211)

The 10 most intense peaks (10° ≤ 2θ ≤ 90°), sorted by position:
h k l	2θ/deg	I_rel
1 1 0	26.5	38
1 1 1	30.5	51
2 0 1	32.7	100
0 0 3	35.0	15
1 1 2	38.0	10
0 2 0	46.2	42
1 1 3	47.6	24
2 2 1	57.8	13
3 1 2	59.3	19
5 1 0	77.0	16